Structure and simulated powder X-ray diffraction pattern of MoW3Cl (a cell relaxed with GGA-PBE; CuKα).

Main lines, low angle first (15 to 90 degrees two-theta):
d = 4.384 Å, 20.25°, I = 12
d = 2.531 Å, 35.46°, I = 100
d = 2.192 Å, 41.18°, I = 62
d = 1.961 Å, 46.30°, I = 5
d = 1.550 Å, 59.65°, I = 41
d = 1.322 Å, 71.35°, I = 40
d = 1.266 Å, 75.05°, I = 14
d = 1.096 Å, 89.39°, I = 7

Cell and atoms:
```
data_MoW3Cl
_cell_length_a 4.384
_cell_length_b 4.384
_cell_length_c 4.384
_cell_angle_alpha 90.00
_cell_angle_beta 90.00
_cell_angle_gamma 90.00
_space_group_name_H-M_alt 'P m -3 m'
_space_group_IT_number 221
_space_group_name_Hall '-P 4 2 3'
loop_
_atom_site_label
_atom_site_fract_x
_atom_site_fract_y
_atom_site_fract_z
Mo1 0.000 0.000 0.000
W1 0.000 0.500 0.500
Cl1 0.500 0.500 0.500
```

---

Structure and simulated powder X-ray diffraction pattern of Ac2MgPb2 (a cell relaxed with GGA-PBE; CuKα).

Main lines, low angle first (15 to 90 degrees two-theta):
d = 5.850 Å, 15.14°, I = 20
d = 2.980 Å, 29.98°, I = 100
d = 2.616 Å, 34.27°, I = 18
d = 2.515 Å, 35.71°, I = 16
d = 1.864 Å, 48.87°, I = 12
d = 1.813 Å, 50.33°, I = 13
d = 1.527 Å, 60.64°, I = 14
d = 1.469 Å, 63.29°, I = 12

Cell and atoms:
```
data_Ac2MgPb2
_cell_length_a 8.274
_cell_length_b 8.274
_cell_length_c 10.059
_cell_angle_alpha 90.00
_cell_angle_beta 90.00
_cell_angle_gamma 90.00
_space_group_name_H-M_alt 'P 4/m n c'
_space_group_IT_number 128
_space_group_name_Hall '-P 4 2n'
loop_
_atom_site_label
_atom_site_fract_x
_atom_site_fract_y
_atom_site_fract_z
Ac1 0.175 0.325 0.000
Mg1 0.000 0.000 0.250
Pb1 0.132 0.632 0.250
```

---

Structure and simulated powder X-ray diffraction pattern of PmW2N6 (a cell relaxed with GGA-PBE; CuKα).

Main lines, low angle first (15 to 90 degrees two-theta):
d = 5.760 Å, 15.38°, I = 15
d = 3.527 Å, 25.25°, I = 13
d = 3.008 Å, 29.70°, I = 100
d = 2.880 Å, 31.05°, I = 47
d = 1.920 Å, 47.34°, I = 35
d = 1.764 Å, 51.84°, I = 41
d = 1.504 Å, 61.67°, I = 20
d = 1.299 Å, 72.81°, I = 24

Cell and atoms:
Unit cell a=9.977 b=9.977 c=9.977 alpha=90.00 beta=90.00 gamma=90.00
Space group Fd-3m (No. 227, origin choice 2)
One atom of each set of equivalent atoms:
Pm1 0.125 0.125 0.125 x8
W1 0.000 0.000 0.500 x16
N1 0.094 0.375 0.875 x48

---

Structure and simulated powder X-ray diffraction pattern of SiH12C2N2F6 (a cell relaxed with GGA-PBE; CuKα).

Main lines, low angle first (15 to 90 degrees two-theta):
d = 5.762 Å, 15.38°, I = 100
d = 5.388 Å, 16.45°, I = 60
d = 4.844 Å, 18.31°, I = 11
d = 4.320 Å, 20.56°, I = 10
d = 3.400 Å, 26.21°, I = 21
d = 2.694 Å, 33.26°, I = 18
d = 2.422 Å, 37.12°, I = 14
d = 1.830 Å, 49.82°, I = 12

Cell and atoms:
```
data_SiH12C2N2F6
_cell_length_a 7.227
_cell_length_b 9.544
_cell_length_c 6.528
_cell_angle_alpha 90.00
_cell_angle_beta 90.00
_cell_angle_gamma 90.00
_space_group_name_H-M_alt 'P n n m'
_space_group_IT_number 58
_space_group_name_Hall '-P 2 2n'
loop_
_atom_site_label
_atom_site_fract_x
_atom_site_fract_y
_atom_site_fract_z
Si1 0.000 0.000 0.000
H1 0.008 0.354 0.363
H2 0.127 0.773 0.500
H3 0.160 0.125 0.372
H4 0.214 0.745 0.000
C1 0.001 0.288 0.500
N1 0.162 0.190 0.500
F1 0.008 0.180 0.000
F2 0.168 0.995 0.187
```

---

Structure and simulated powder X-ray diffraction pattern of Ba2MgH6Pd (a cell relaxed with GGA-PBE; CuKα).

Main lines, low angle first (15 to 90 degrees two-theta):
d = 4.711 Å, 18.84°, I = 15
d = 2.901 Å, 30.82°, I = 100
d = 2.853 Å, 31.35°, I = 48
d = 2.087 Å, 43.36°, I = 10
d = 2.023 Å, 44.81°, I = 9
d = 1.684 Å, 54.47°, I = 20
d = 1.658 Å, 55.40°, I = 19
d = 1.654 Å, 55.55°, I = 19

Cell and atoms:
```
data_Ba2MgH6Pd
_cell_length_a 8.050
_cell_length_b 8.090
_cell_length_c 8.348
_cell_angle_alpha 90.00
_cell_angle_beta 90.00
_cell_angle_gamma 90.00
_space_group_name_H-M_alt 'F m m m'
_space_group_IT_number 69
_space_group_name_Hall '-F 2 2'
loop_
_atom_site_label
_atom_site_fract_x
_atom_site_fract_y
_atom_site_fract_z
Ba1 0.250 0.250 0.250
Mg1 0.000 0.000 0.000
H1 0.000 0.000 0.244
H2 0.000 0.241 0.500
H3 0.238 0.000 0.500
Pd1 0.000 0.000 0.500
```

---

Structure and simulated powder X-ray diffraction pattern of ThZr5Sb4 (a cell relaxed with GGA-PBE; CuKα).

Main lines, low angle first (15 to 90 degrees two-theta):
d = 3.659 Å, 24.33°, I = 94
d = 3.470 Å, 25.67°, I = 56
d = 3.144 Å, 28.38°, I = 52
d = 2.742 Å, 32.66°, I = 67
d = 2.689 Å, 33.32°, I = 54
d = 2.442 Å, 36.80°, I = 81
d = 2.423 Å, 37.10°, I = 67
d = 2.139 Å, 42.26°, I = 100

Cell and atoms:
```
data_ThZr5Sb4
_cell_length_a 9.663
_cell_length_b 9.976
_cell_length_c 5.603
_cell_angle_alpha 90.00
_cell_angle_beta 90.00
_cell_angle_gamma 90.00
_space_group_name_H-M_alt 'P m m n'
_space_group_IT_number 59
loop_
_space_group_symop_operation_xyz
'x,y,z'
'-x,-y,-z'
'-x+1/2,-y+1/2,z'
'x+1/2,y+1/2,-z'
'x+1/2,-y,-z'
'-x+1/2,y,z'
'-x,y+1/2,-z'
'x,-y+1/2,z'
loop_
_atom_site_label
_atom_site_fract_x
_atom_site_fract_y
_atom_site_fract_z
Th1 0.250 0.250 0.012
Zr1 0.007 0.507 0.753
Zr2 0.250 0.750 0.514
Sb1 0.067 0.250 0.514
Sb2 0.250 0.591 0.024
```

---

Structure and simulated powder X-ray diffraction pattern of NaBiPd6 (a cell relaxed with GGA-PBE; CuKα).

Main lines, low angle first (15 to 90 degrees two-theta):
d = 4.130 Å, 21.52°, I = 19
d = 2.341 Å, 38.46°, I = 100
d = 2.152 Å, 41.98°, I = 39
d = 1.831 Å, 49.80°, I = 12
d = 1.522 Å, 60.87°, I = 14
d = 1.395 Å, 67.12°, I = 19
d = 1.276 Å, 74.34°, I = 28
d = 1.170 Å, 82.40°, I = 11

Cell and atoms:
```
data_NaBiPd6
_cell_length_a 4.304
_cell_length_b 4.304
_cell_length_c 14.649
_cell_angle_alpha 90.00
_cell_angle_beta 90.00
_cell_angle_gamma 90.00
_space_group_name_H-M_alt 'I 4/m m m'
_space_group_IT_number 139
_space_group_name_Hall '-I 4 2'
loop_
_atom_site_label
_atom_site_fract_x
_atom_site_fract_y
_atom_site_fract_z
Na1 0.000 0.000 0.000
Bi1 0.000 0.000 0.500
Pd1 0.000 0.000 0.252
Pd2 0.000 0.500 0.129
```